Entry 1:
Starting from a PBE-relaxed structure, the powder XRD pattern of Pm8Pr3Sc was simulated for a wavelength of 1.5418 Å.

abc: 8.803 8.803 11.553
angles: 90.00 90.00 90.00
Space group I-42m (No. 121)
Symmetry-distinct sites (fractional):
1 Pm 0.125 0.125 0.257
2 Pm 0.238 0.238 0.519
3 Pr 0.000 0.000 0.000
4 Pr 0.000 0.500 0.250
5 Sc 0.000 0.000 0.500

The 12 most intense peaks (15 to 90 degrees two-theta), sorted by position:
| index | d [Å] | I (rel.) |
| --- | --- | --- |
| 2 1 1 | 3.726 | 88 |
| 2 0 2 | 3.501 | 89 |
| 2 2 0 | 3.112 | 83 |
| 0 0 4 | 2.888 | 76 |
| 2 1 3 | 2.753 | 47 |
| 3 1 2 | 2.508 | 100 |
| 2 2 4 | 2.117 | 50 |
| 4 0 2 | 2.056 | 50 |
| 4 2 2 | 1.863 | 28 |
| 5 1 2 | 1.654 | 30 |
| 3 1 6 | 1.584 | 31 |
| 4 4 4 | 1.370 | 29 |

---

Entry 2:
Starting from a PBE-relaxed structure, the powder XRD pattern of Ac2Ga3Ag6 was simulated for a wavelength of 1.5418 Å.

abc: 8.0196 8.0196 4.5304
angles: 90.00 90.00 120.00
Space group P-62m (No. 189)
Symmetry-distinct sites (fractional):
1 Ac 0.3333 0.6667 0.0000
2 Ga 0.0000 0.6254 0.5000
3 Ag 0.0000 0.2912 0.5000
4 Ag 0.0000 0.7985 0.0000

The 12 most intense peaks (15 to 90 degrees two-theta), sorted by position:
| index | d [Å] | I (rel.) |
| --- | --- | --- |
| 2 0 0 | 3.473 | 13 |
| 1 1 1 | 3.003 | 100 |
| 2 0 1 | 2.756 | 12 |
| 2 1 0 | 2.625 | 23 |
| 3 0 0 | 2.315 | 32 |
| 2 1 1 | 2.271 | 54 |
| 0 0 2 | 2.265 | 26 |
| 2 2 1 | 1.833 | 14 |
| 2 1 2 | 1.715 | 13 |
| 3 0 2 | 1.619 | 22 |
| 4 1 1 | 1.437 | 25 |
| 1 1 3 | 1.413 | 10 |